Starting from a PBE-relaxed structure, the XRD peak list of CaTh2UN4 was calculated for Cu Kα X-rays.
Peak positions follow from Bragg's law for the DFT cell and can differ from measured ones.

Principal peaks in the range 5 to 70 degrees two-theta, sorted by position:
| 2theta | intensity |
| --- | --- |
| 19.64 | 21 |
| 30.67 | 100 |
| 35.49 | 47 |
| 35.69 | 23 |
| 51.07 | 16 |
| 51.22 | 32 |
| 60.76 | 31 |
| 63.87 | 17 |

Structure:
Lattice parameters (Å, degrees): 6.1727 6.1727 6.1727 131.62 131.62 70.82
Atoms (fractional coordinates):
Ca: 0.0000 0.0000 0.0000
Th: 0.5000 0.5000 0.0000
Th: 0.7500 0.2500 0.5000
U: 0.2500 0.7500 0.5000
N: 0.0191 0.5191 0.5000
N: 0.2510 0.2510 0.0000
N: 0.4809 0.9809 0.5000
N: 0.7490 0.7490 0.0000